Computed X-ray diffraction stick pattern of Gd2Si3 for λ = 1.5418 Å (Cu Kα), from a structure optimized by DFT (PBE).

Top 12 peaks for 15 to 90 degrees two-theta, most intense first:
two_theta  intensity  (hkl)
34.3  100  1 0 2
25.8  60  1 0 0
45.6  28  1 1 0
58.3  22  2 0 2
77.0  19  2 1 2
22.2  19  0 0 2
66.2  18  1 1 4
52.9  16  1 0 4
51.3  13  1 1 2
45.3  9  0 0 4
76.6  9  1 0 6
53.1  8  2 0 0

Crystal structure
Lattice parameters (Å, degrees): 3.981 3.981 8.000 90.00 90.00 120.00
Element x y z (fractional)
Gd (0.000, 0.000, 0.243)
Gd (0.000, 0.000, 0.757)
Si (0.333, 0.667, 0.500)
Si (0.667, 0.333, 0.000)
Si (0.667, 0.333, 0.500)